Starting from a cell relaxed with GGA+U, the XRD peak list of Sr2Ca6Mn8O23 was simulated for λ = 1.5418 Å (Cu Kα).

Largest 6 diffraction maxima, low angle first, 15 to 90 degrees two-theta:
| (hkl) | 2theta | I (rel.) |
| --- | --- | --- |
| 2 2 0 | 32.8 | 85 |
| 0 2 2 | 33.0 | 75 |
| 2 0 2 | 33.3 | 100 |
| 0 4 0 | 46.6 | 42 |
| 2 4 2 | 58.5 | 35 |
| 2 2 4 | 59.4 | 34 |

Cell and atoms:
```
data_Sr2Ca6Mn8O23
_chemical_formula_sum 'Sr2 Ca6 Mn8 O23'
_space_group_name_H-M_alt 'P 1'
_space_group_IT_number 1
_cell_length_a 7.641
_cell_length_b 7.794
_cell_length_c 7.573
_cell_angle_alpha 90.00
_cell_angle_beta 90.00
_cell_angle_gamma 90.00
loop_
_space_group_symop_operation_xyz
'x,y,z'
loop_
_atom_site_label
_atom_site_fract_x
_atom_site_fract_y
_atom_site_fract_z
Sr1 0.000 0.241 0.000
Sr2 0.000 0.759 0.000
Ca1 0.000 0.244 0.491
Ca2 0.000 0.756 0.491
Ca3 0.500 0.243 0.476
Ca4 0.500 0.246 0.005
Ca5 0.500 0.754 0.005
Ca6 0.500 0.757 0.476
Mn1 0.250 0.000 0.742
Mn2 0.250 0.500 0.245
Mn3 0.252 0.000 0.247
Mn4 0.266 0.500 0.735
Mn5 0.734 0.500 0.735
Mn6 0.748 0.000 0.247
Mn7 0.750 0.000 0.742
Mn8 0.750 0.500 0.245
O1 0.000 0.000 0.291
O2 0.000 0.000 0.689
O3 0.000 0.500 0.189
O4 0.183 0.500 0.496
O5 0.212 0.000 0.995
O6 0.227 0.256 0.740
O7 0.227 0.744 0.740
O8 0.258 0.250 0.250
O9 0.258 0.750 0.250
O10 0.301 0.500 0.989
O11 0.307 0.000 0.496
O12 0.500 0.000 0.197
O13 0.500 0.000 0.799
O14 0.500 0.500 0.299
O15 0.500 0.500 0.666
O16 0.693 0.000 0.496
O17 0.699 0.500 0.989
O18 0.742 0.250 0.250
O19 0.742 0.750 0.250
O20 0.773 0.256 0.740
O21 0.773 0.744 0.740
O22 0.788 0.000 0.995
O23 0.817 0.500 0.496
```



Starting from a cell relaxed with GGA+U, the XRD peak list of Sr3Ca5Mn8O20 was simulated for λ = 1.5418 Å (Cu Kα).

Largest 6 diffraction maxima, low angle first, 15 to 90 degrees two-theta:
| (hkl) | 2theta | I (rel.) |
| --- | --- | --- |
| 2 -2 0 | 32.1 | 100 |
| 0 2 -2 | 32.2 | 47 |
| 0 2 2 | 32.5 | 43 |
| 2 0 2 | 33.1 | 95 |
| 0 0 4 | 46.3 | 73 |
| 4 0 0 | 47.1 | 31 |

Cell and atoms:
```
data_Sr3Ca5Mn8O20
_chemical_formula_sum 'Sr3 Ca5 Mn8 O20'
_space_group_name_H-M_alt 'P 1'
_space_group_IT_number 1
_cell_length_a 7.728
_cell_length_b 7.839
_cell_length_c 7.843
_cell_angle_alpha 90.50
_cell_angle_beta 91.85
_cell_angle_gamma 91.58
loop_
_space_group_symop_operation_xyz
'x,y,z'
loop_
_atom_site_label
_atom_site_fract_x
_atom_site_fract_y
_atom_site_fract_z
Sr1 0.000 0.000 0.000
Sr2 0.007 0.983 0.499
Sr3 0.520 0.002 0.508
Ca1 0.537 0.989 0.985
Ca2 0.539 0.475 0.985
Ca3 0.542 0.473 0.504
Ca4 0.981 0.480 0.990
Ca5 0.994 0.478 0.510
Mn1 0.253 0.732 0.737
Mn2 0.259 0.230 0.251
Mn3 0.263 0.730 0.251
Mn4 0.266 0.247 0.756
Mn5 0.739 0.734 0.249
Mn6 0.755 0.240 0.750
Mn7 0.764 0.737 0.755
Mn8 0.766 0.245 0.252
O1 0.015 0.756 0.781
O2 0.017 0.262 0.253
O3 0.197 0.700 0.478
O4 0.212 0.486 0.774
O5 0.235 0.969 0.231
O6 0.239 0.256 0.001
O7 0.246 0.252 0.506
O8 0.263 0.992 0.755
O9 0.484 0.673 0.189
O10 0.505 0.723 0.768
O11 0.510 0.268 0.259
O12 0.511 0.262 0.749
O13 0.746 0.986 0.244
O14 0.748 0.734 0.499
O15 0.759 0.995 0.755
O16 0.770 0.245 0.994
O17 0.779 0.239 0.510
O18 0.785 0.731 0.008
O19 0.789 0.482 0.748
O20 0.799 0.498 0.255
```